For Na2AgF4, a structure optimized by DFT (PBE) gives the computed powder XRD pattern in this record (CuKα).
Lines closer than 0.1° are merged.

Structural model:
```
Na2AgF4
1.0
3.3847 0.0000 0.0000
0.0000 10.5275 0.0000
-2.5264 0.0000 5.6441
Na Ag F
4 2 8
direct
0.2493 0.1515 0.4676
0.2493 0.3485 0.9676
0.7507 0.6515 0.0324
0.7507 0.8485 0.5324
0.5000 0.0000 0.0000
0.5000 0.5000 0.5000
0.0716 0.5616 0.7924
0.0716 0.9384 0.2924
0.4570 0.6726 0.3109
0.4570 0.8274 0.8109
0.5430 0.1726 0.1891
0.5430 0.3274 0.6891
0.9284 0.0616 0.7076
0.9284 0.4384 0.2076
```

Principal peaks in the range 2θ = 10–80°, by angle:
(hkl), two_theta, intensity
0 2 0, 16.84, 91
0 1 1, 17.83, 100
1 1 -1, 27.98, 64
1 0 0, 28.90, 31
0 3 1, 29.98, 83
1 0 -2, 33.11, 37
1 2 -2, 37.37, 49
1 1 1, 39.49, 41
1 3 -3, 52.39, 25
0 3 3, 55.41, 26